Record 1
Structure and theoretical X-ray diffraction stick pattern of SmScSn2 (a crystal structure in OQMD, relaxed with PBE; a wavelength of 1.5418 Å).
No peak broadening, texture or thermal motion is included.

Largest 6 diffraction maxima, by angle, 10 to 90 degrees two-theta:
d = 3.268 Å, I 100; d = 3.062 Å, I 84; d = 3.021 Å, I 77; d = 2.235 Å, I 71; d = 2.218 Å, I 65; d = 1.797 Å, I 69

Structure:
Cell: 3.268 6.125 12.084 Å, 90.00 90.00 90.00°
Space group Amm2 (No. 38)
Asymmetric unit:
Sm  0.000  0.000  0.000 [2 per cell]
Sc  0.000  0.000  0.725 [2 per cell]
Sn  0.000  0.000  0.257 [2 per cell]
Sn  0.000  0.000  0.491 [2 per cell]

Record 2
Structure and theoretical X-ray diffraction stick pattern of TbScZn2Sn2 (a crystal structure in OQMD, relaxed with PBE; a wavelength of 1.5418 Å).
No peak broadening, texture or thermal motion is included.

Largest 6 diffraction maxima, by angle, 10 to 90 degrees two-theta:
d = 3.075 Å, I 29; d = 2.705 Å, I 100; d = 2.249 Å, I 78; d = 1.880 Å, I 25; d = 1.729 Å, I 26; d = 1.371 Å, I 24

Structure:
Cell: 4.4979 4.4979 15.0340 Å, 90.00 90.00 120.00°
Space group P6_3/mmc (No. 194)
Asymmetric unit:
Tb  0.0000  0.0000  0.2500 [2 per cell]
Sc  0.0000  0.0000  0.0000 [2 per cell]
Zn  0.3333  0.6667  0.1550 [4 per cell]
Sn  0.3333  0.6667  0.6056 [4 per cell]